Record 1
The following is a simulated X-ray powder pattern of PrDy3S4. It was derived from a DFT-relaxed cell (GGA-PBE, Alexandria), using CuKα.

Top 6 peaks for 5 to 70 degrees two-theta, sorted by position:
| h k l | 2theta | I_rel |
| --- | --- | --- |
| 1 1 1 | 27.6 | 80 |
| 2 0 0 | 31.9 | 100 |
| 2 2 0 | 45.8 | 72 |
| 3 1 1 | 54.3 | 39 |
| 2 2 2 | 56.9 | 25 |
| 4 0 0 | 66.8 | 12 |

Structure:
```
data_PrDy3S4
_cell_length_a 5.602
_cell_length_b 5.602
_cell_length_c 5.602
_cell_angle_alpha 90.00
_cell_angle_beta 90.00
_cell_angle_gamma 90.00
_symmetry_space_group_name_H-M 'P m -3 m'
_symmetry_Int_Tables_number 221
_symmetry_space_group_name_Hall '-P 4 2 3'
loop_
_atom_site_label
_atom_site_type_symbol
_atom_site_fract_x
_atom_site_fract_y
_atom_site_fract_z
Pr1 Pr 0.000 0.000 0.000
Dy1 Dy 0.000 0.500 0.500
S1 S 0.000 0.000 0.500
S2 S 0.500 0.500 0.500
```

***

Record 2
The following is a simulated X-ray powder pattern of PrDy2S4. It was derived from a DFT-relaxed cell (GGA-PBE, Alexandria), using CuKα.

Top 8 peaks for 5 to 70 degrees two-theta, sorted by position:
| h k l | 2theta | I_rel |
| --- | --- | --- |
| 0 2 3 | 24.4 | 100 |
| 1 1 1 | 24.9 | 27 |
| 0 4 0 | 27.5 | 53 |
| 1 3 1 | 31.7 | 37 |
| 1 3 2 | 33.8 | 51 |
| 1 1 5 | 41.8 | 33 |
| 0 6 3 | 46.7 | 27 |
| 2 0 0 | 46.8 | 27 |

Structure:
```
data_PrDy2S4
_cell_length_a 3.883
_cell_length_b 13.007
_cell_length_c 13.255
_cell_angle_alpha 90.00
_cell_angle_beta 90.00
_cell_angle_gamma 90.00
_symmetry_space_group_name_H-M 'C m c m'
_symmetry_Int_Tables_number 63
_symmetry_space_group_name_Hall '-C 2c 2'
loop_
_atom_site_label
_atom_site_type_symbol
_atom_site_fract_x
_atom_site_fract_y
_atom_site_fract_z
Pr1 Pr 0.000 0.124 0.250
Dy1 Dy 0.000 0.370 0.068
S1 S 0.000 0.000 0.000
S2 S 0.000 0.273 0.619
S3 S 0.000 0.461 0.250
```

***

Record 3
The following is a simulated X-ray powder pattern of Pr5DyS6. It was derived from a DFT-relaxed cell (GGA-PBE, Alexandria), using CuKα.

Top 8 peaks for 5 to 70 degrees two-theta, sorted by position:
| h k l | 2theta | I_rel |
| --- | --- | --- |
| 1 3 -1 | 26.8 | 37 |
| 2 0 0 | 26.8 | 37 |
| 2 0 -2 | 31.1 | 100 |
| 3 3 -1 | 44.5 | 60 |
| 4 0 -2 | 52.7 | 25 |
| 3 3 1 | 52.8 | 12 |
| 2 6 -2 | 55.2 | 13 |
| 0 0 4 | 55.3 | 13 |

Structure:
```
data_Pr5DyS6
_cell_length_a 7.054
_cell_length_b 12.239
_cell_length_c 7.051
_cell_angle_alpha 90.00
_cell_angle_beta 109.64
_cell_angle_gamma 90.00
_symmetry_space_group_name_H-M 'C 1 2/m 1'
_symmetry_Int_Tables_number 12
_symmetry_space_group_name_Hall '-C 2y'
loop_
_atom_site_label
_atom_site_type_symbol
_atom_site_fract_x
_atom_site_fract_y
_atom_site_fract_z
Pr1 Pr 0.000 0.000 0.000
Pr2 Pr 0.000 0.167 0.500
Pr3 Pr 0.000 0.329 0.000
Dy1 Dy 0.000 0.500 0.500
S1 S 0.241 0.500 0.254
S2 S 0.242 0.339 0.742
```

***

Record 4
The following is a simulated X-ray powder pattern of Pr6DyS8. It was derived from a DFT-relaxed cell (GGA-PBE, Alexandria), using CuKα.

Top 8 peaks for 5 to 70 degrees two-theta, sorted by position:
| h k l | 2theta | I_rel |
| --- | --- | --- |
| 1 1 1 | 13.3 | 18 |
| 3 1 1 | 25.6 | 10 |
| 2 2 2 | 26.7 | 64 |
| 4 0 0 | 30.9 | 100 |
| 4 4 0 | 44.3 | 72 |
| 6 2 2 | 52.5 | 33 |
| 4 4 4 | 55.0 | 25 |
| 8 0 0 | 64.5 | 12 |

Structure:
```
data_Pr6DyS8
_cell_length_a 11.560
_cell_length_b 11.560
_cell_length_c 11.560
_cell_angle_alpha 90.00
_cell_angle_beta 90.00
_cell_angle_gamma 90.00
_symmetry_space_group_name_H-M 'F m -3 m'
_symmetry_Int_Tables_number 225
_symmetry_space_group_name_Hall '-F 4 2 3'
loop_
_atom_site_label
_atom_site_type_symbol
_atom_site_fract_x
_atom_site_fract_y
_atom_site_fract_z
Pr1 Pr 0.000 0.250 0.250
Dy1 Dy 0.000 0.000 0.000
S1 S 0.000 0.000 0.241
S2 S 0.250 0.250 0.250
```

***

Record 5
The following is a simulated X-ray powder pattern of Pr3Dy3ScS8. It was derived from a DFT-relaxed cell (GGA-PBE, Alexandria), using CuKα.

Top 8 peaks for 5 to 70 degrees two-theta, sorted by position:
| h k l | 2theta | I_rel |
| --- | --- | --- |
| 0 1 2 | 15.8 | 24 |
| 0 0 6 | 27.0 | 16 |
| 2 0 2 | 27.6 | 45 |
| 0 2 4 | 31.8 | 100 |
| 2 0 8 | 45.3 | 36 |
| 2 2 0 | 46.0 | 35 |
| 2 2 6 | 54.2 | 15 |
| 4 0 4 | 57.0 | 18 |

Structure:
```
data_Pr3Dy3ScS8
_cell_length_a 7.8928
_cell_length_b 7.8928
_cell_length_c 19.7849
_cell_angle_alpha 90.00
_cell_angle_beta 90.00
_cell_angle_gamma 120.00
_symmetry_space_group_name_H-M 'R -3 m'
_symmetry_Int_Tables_number 166
_symmetry_space_group_name_Hall '-R 3 2"'
loop_
_atom_site_label
_atom_site_type_symbol
_atom_site_fract_x
_atom_site_fract_y
_atom_site_fract_z
Pr1 Pr 0.0000 0.5000 0.0000
Dy1 Dy 0.0000 0.5000 0.5000
Sc1 Sc 0.0000 0.0000 0.5000
S1 S 0.0000 0.0000 0.2440
S2 S 0.0083 0.5042 0.2423
```

***

Record 6
The following is a simulated X-ray powder pattern of Pr2Dy2Se3S2. It was derived from a DFT-relaxed cell (GGA-PBE, Alexandria), using CuKα.

Top 8 peaks for 5 to 70 degrees two-theta, sorted by position:
| h k l | 2theta | I_rel |
| --- | --- | --- |
| 0 0 4 | 24.4 | 52 |
| 1 1 2 | 25.4 | 39 |
| 2 0 0 | 31.6 | 100 |
| 1 0 5 | 34.6 | 32 |
| 2 0 4 | 40.3 | 55 |
| 2 2 0 | 45.3 | 36 |
| 2 1 5 | 47.5 | 26 |
| 2 2 4 | 52.1 | 26 |

Structure:
```
data_Pr2Dy2Se3S2
_cell_length_a 5.662
_cell_length_b 5.662
_cell_length_c 14.594
_cell_angle_alpha 90.00
_cell_angle_beta 90.00
_cell_angle_gamma 90.00
_symmetry_space_group_name_H-M 'I 4/m m m'
_symmetry_Int_Tables_number 139
_symmetry_space_group_name_Hall '-I 4 2'
loop_
_atom_site_label
_atom_site_type_symbol
_atom_site_fract_x
_atom_site_fract_y
_atom_site_fract_z
Pr1 Pr 0.000 0.000 0.211
Dy1 Dy 0.000 0.500 0.000
Se1 Se 0.000 0.000 0.000
Se2 Se 0.000 0.500 0.250
S1 S 0.000 0.000 0.403
```